Starting from a DFT-relaxed cell (GGA-PBE, Alexandria), the powder X-ray diffraction pattern of Ba5Ru2Br2O9 was computed for Cu Kα, 1.54184 Å.
Kinematic intensities with the Lorentz-polarization factor, no thermal factor.

Largest 8 diffraction maxima, low angle first, 2θ = 15–90°:
4.778 Å, intensity 21; 3.009 Å, intensity 72; 2.967 Å, intensity 100; 2.191 Å, intensity 20; 2.113 Å, intensity 38; 1.721 Å, intensity 27; 1.713 Å, intensity 20; 1.483 Å, intensity 16

a b c (Å): 5.933 5.933 25.988
angles (deg): 90.00 90.00 120.00
Element x y z (fractional)
Ba  0.333  0.667  0.087
Ba  0.333  0.667  0.250
Ba  0.333  0.667  0.413
Ba  0.333  0.667  0.674
Ba  0.333  0.667  0.826
Ba  0.667  0.333  0.174
Ba  0.667  0.333  0.326
Ba  0.667  0.333  0.587
Ba  0.667  0.333  0.750
Ba  0.667  0.333  0.913
Ru  0.000  0.000  0.195
Ru  0.000  0.000  0.305
Ru  0.000  0.000  0.695
Ru  0.000  0.000  0.805
Br  0.333  0.667  0.546
Br  0.333  0.667  0.954
Br  0.667  0.333  0.046
Br  0.667  0.333  0.454
O  0.151  0.302  0.750
O  0.151  0.849  0.750
O  0.160  0.320  0.158
O  0.160  0.320  0.342
O  0.160  0.840  0.158
O  0.160  0.840  0.342
O  0.302  0.151  0.250
O  0.320  0.160  0.658
O  0.320  0.160  0.842
O  0.680  0.840  0.158
O  0.680  0.840  0.342
O  0.698  0.849  0.750
O  0.840  0.160  0.658
O  0.840  0.160  0.842
O  0.840  0.680  0.658
O  0.840  0.680  0.842
O  0.849  0.151  0.250
O  0.849  0.698  0.250

---

Starting from a DFT-relaxed cell (GGA-PBE, Alexandria), the powder X-ray diffraction pattern of Ce5PuSn2 was computed for Cu Kα, 1.54184 Å.
Kinematic intensities with the Lorentz-polarization factor, no thermal factor.

Largest 8 diffraction maxima, low angle first, 2θ = 15–90°:
2.752 Å, intensity 100; 2.399 Å, intensity 34; 2.353 Å, intensity 16; 1.680 Å, intensity 23; 1.444 Å, intensity 28; 1.424 Å, intensity 13; 1.376 Å, intensity 12; 1.091 Å, intensity 12

a b c (Å): 6.721 6.721 6.721
angles (deg): 119.36 119.36 91.11
Element x y z (fractional)
Ce  0.000  0.000  0.000
Ce  0.498  0.498  0.502
Ce  0.498  0.996  0.000
Ce  0.996  0.498  0.000
Ce  0.996  0.996  0.498
Pu  0.494  0.494  0.000
Sn  0.497  0.997  0.500
Sn  0.997  0.497  0.500

---

Starting from a DFT-relaxed cell (GGA-PBE, Alexandria), the powder X-ray diffraction pattern of Ho3Se3S was computed for Cu Kα, 1.54184 Å.
Kinematic intensities with the Lorentz-polarization factor, no thermal factor.

Largest 8 diffraction maxima, low angle first, 2θ = 15–90°:
4.369 Å, intensity 28; 3.374 Å, intensity 52; 2.671 Å, intensity 29; 2.656 Å, intensity 100; 2.523 Å, intensity 25; 2.486 Å, intensity 25; 2.185 Å, intensity 62; 1.641 Å, intensity 32

a b c (Å): 5.624 5.624 5.624
angles (deg): 101.94 101.94 101.94
Element x y z (fractional)
Ho  0.009  0.496  0.496
Ho  0.496  0.009  0.496
Ho  0.496  0.496  0.009
Se  0.066  0.066  0.670
Se  0.066  0.670  0.066
Se  0.670  0.066  0.066
S  0.513  0.513  0.513